The following is a simulated XRD peak list of Li4V2Cr3Co3O16. It was derived from a DFT-relaxed cell (PBE+U, Alexandria), using Cu Kα.
No peak broadening, texture or thermal motion is included.

Structural model:
Unit cell a=5.802 b=5.802 c=9.297 alpha=90.50 beta=90.50 gamma=60.25
Fractional coordinates of all 28 atoms:
Li  0.000  0.000  0.000
Li  0.002  0.002  0.496
Li  0.347  0.347  0.593
Li  0.681  0.681  0.097
V  0.345  0.345  0.000
V  0.677  0.677  0.496
Cr  0.182  0.182  0.278
Cr  0.353  0.840  0.778
Cr  0.840  0.353  0.778
Co  0.182  0.666  0.279
Co  0.666  0.182  0.279
Co  0.838  0.838  0.778
O  0.004  0.004  0.188
O  0.005  0.005  0.685
O  0.055  0.496  0.151
O  0.181  0.181  0.908
O  0.183  0.662  0.901
O  0.349  0.349  0.385
O  0.354  0.837  0.402
O  0.488  0.488  0.157
O  0.496  0.055  0.151
O  0.533  0.533  0.647
O  0.540  0.969  0.650
O  0.662  0.183  0.901
O  0.682  0.682  0.889
O  0.835  0.835  0.395
O  0.837  0.354  0.402
O  0.969  0.540  0.650

Most intense lines, 2θ = 15–90°, by angle:
19.09°, rel. 76; 20.04°, rel. 100; 33.87°, rel. 21; 36.38°, rel. 34; 36.98°, rel. 56; 40.66°, rel. 25; 46.33°, rel. 36; 46.58°, rel. 23; 61.85°, rel. 25; 64.21°, rel. 30